# 1
The following is a theoretical X-ray diffraction stick pattern of LiOsO3. It was derived from DFT lattice parameters and positions (PBE), using Cu Ka.
No peak broadening, texture or thermal motion is included.

Principal peaks in the range 2θ = 10–90°, by angle:
3.688 Å, 24.13 deg, rel. 100; 2.666 Å, 33.61 deg, rel. 41; 2.553 Å, 35.15 deg, rel. 30; 2.099 Å, 43.09 deg, rel. 17; 1.844 Å, 49.42 deg, rel. 17; 1.679 Å, 54.67 deg, rel. 26; 1.622 Å, 56.77 deg, rel. 18; 1.563 Å, 59.09 deg, rel. 8; 1.495 Å, 62.09 deg, rel. 15; 1.474 Å, 63.07 deg, rel. 10; 1.206 Å, 79.44 deg, rel. 8; 1.182 Å, 81.43 deg, rel. 7

Structural model:
```
LiOsO3
1.0
2.553 1.474 4.457
-2.553 1.474 4.457
0.000 -2.948 4.457
Li Os O
2 2 6
direct
0.000 0.000 0.000
0.500 0.500 0.500
0.285 0.285 0.285
0.785 0.785 0.785
0.040 0.408 0.664
0.164 0.908 0.540
0.408 0.664 0.040
0.540 0.164 0.908
0.664 0.040 0.408
0.908 0.540 0.164
```


# 2
The following is a theoretical X-ray diffraction stick pattern of Ga3Pb. It was derived from DFT lattice parameters and positions (PBE), using Cu Ka.
No peak broadening, texture or thermal motion is included.

Principal peaks in the range 2θ = 10–90°, by angle:
4.159 Å, 21.36 deg, rel. 21; 3.602 Å, 24.72 deg, rel. 11; 2.547 Å, 35.23 deg, rel. 100; 2.172 Å, 41.57 deg, rel. 12; 1.801 Å, 50.68 deg, rel. 18; 1.653 Å, 55.61 deg, rel. 5; 1.611 Å, 57.18 deg, rel. 5; 1.471 Å, 63.23 deg, rel. 36; 1.386 Å, 67.56 deg, rel. 4; 1.274 Å, 74.50 deg, rel. 11; 1.218 Å, 78.55 deg, rel. 4; 1.139 Å, 85.18 deg, rel. 16

Structural model:
```
Ga3Pb
1.0
7.204 0.000 0.000
0.000 7.204 0.000
0.000 0.000 7.204
Ga Pb
12 4
direct
0.000 0.000 0.000
0.000 0.500 0.500
0.250 0.250 0.250
0.250 0.250 0.750
0.250 0.750 0.250
0.250 0.750 0.750
0.500 0.000 0.500
0.500 0.500 0.000
0.750 0.250 0.250
0.750 0.250 0.750
0.750 0.750 0.250
0.750 0.750 0.750
0.000 0.000 0.500
0.000 0.500 0.000
0.500 0.000 0.000
0.500 0.500 0.500
```